[1]
Calculated X-ray diffraction stick pattern
Compound: YCu4Pt2
Radiation: copper Kα
Structure: a structure optimized by DFT (GGA-PBE)

Atomic structure:
Cell lengths 7.284, 7.284, 5.344 Å; angles 90.00, 90.00, 90.00 degrees
Positions (direct):
Y1 0.000 0.000 0.000
Y2 0.500 0.500 0.500
Cu1 0.000 0.220 0.500
Cu2 0.000 0.780 0.500
Cu3 0.220 0.000 0.500
Cu4 0.280 0.500 0.000
Cu5 0.500 0.280 0.000
Cu6 0.500 0.720 0.000
Cu7 0.720 0.500 0.000
Cu8 0.780 0.000 0.500
Pt1 0.000 0.500 0.250
Pt2 0.000 0.500 0.750
Pt3 0.500 0.000 0.250
Pt4 0.500 0.000 0.750

The 12 most intense peaks (10 to 80 degrees two-theta), sorted by position:
| 2theta | intensity | hkl |
| --- | --- | --- |
| 17.22 | 54 | 1 1 0 |
| 24.44 | 100 | 2 0 0 |
| 32.18 | 32 | 2 1 1 |
| 37.93 | 75 | 1 1 2 |
| 39.11 | 29 | 3 1 0 |
| 41.93 | 17 | 2 0 2 |
| 48.15 | 23 | 3 2 1 |
| 49.13 | 39 | 2 2 2 |
| 50.09 | 31 | 4 0 0 |
| 52.45 | 40 | 3 1 2 |
| 56.50 | 17 | 4 2 0 |
| 75.46 | 27 | 5 1 2 |


[2]
Calculated X-ray diffraction stick pattern
Compound: Y3Cu2Pt
Radiation: copper Kα
Structure: a structure optimized by DFT (GGA-PBE)

Atomic structure:
Cell lengths 11.682, 4.347, 10.800 Å; angles 90.00, 90.00, 90.00 degrees
Positions (direct):
Y1 0.049 0.250 0.126
Y2 0.113 0.750 0.566
Y3 0.223 0.250 0.805
Y4 0.277 0.750 0.305
Y5 0.387 0.250 0.066
Y6 0.451 0.750 0.626
Y7 0.549 0.250 0.374
Y8 0.613 0.750 0.934
Y9 0.723 0.250 0.695
Y10 0.777 0.750 0.195
Y11 0.887 0.250 0.434
Y12 0.951 0.750 0.874
Cu1 0.011 0.750 0.303
Cu2 0.190 0.750 0.018
Cu3 0.310 0.250 0.518
Cu4 0.489 0.250 0.803
Cu5 0.511 0.750 0.197
Cu6 0.690 0.750 0.482
Cu7 0.810 0.250 0.982
Cu8 0.989 0.250 0.697
Pt1 0.129 0.250 0.379
Pt2 0.371 0.750 0.879
Pt3 0.629 0.250 0.121
Pt4 0.871 0.750 0.621

The 12 most intense peaks (10 to 80 degrees two-theta), sorted by position:
| 2theta | intensity | hkl |
| --- | --- | --- |
| 11.16 | 59 | 1 0 1 |
| 17.26 | 39 | 2 0 1 |
| 18.10 | 31 | 1 0 2 |
| 30.53 | 22 | 2 1 2 |
| 32.29 | 78 | 0 1 3 |
| 35.12 | 100 | 3 1 2 |
| 38.04 | 59 | 4 1 1 |
| 41.55 | 56 | 0 2 0 |
| 42.34 | 44 | 2 1 4 |
| 44.80 | 28 | 2 0 5 |
| 48.18 | 23 | 3 0 5 |
| 65.46 | 28 | 5 0 6 |


[3]
Calculated X-ray diffraction stick pattern
Compound: YCuPt2
Radiation: copper Kα
Structure: a structure optimized by DFT (GGA-PBE)

Atomic structure:
Cell lengths 4.030, 4.030, 8.534 Å; angles 90.00, 90.00, 90.00 degrees
Positions (direct):
Y1 0.000 0.000 0.000
Y2 0.500 0.500 0.500
Cu1 0.000 0.500 0.250
Cu2 0.500 0.000 0.750
Pt1 0.000 0.000 0.500
Pt2 0.000 0.500 0.750
Pt3 0.500 0.000 0.250
Pt4 0.500 0.500 0.000

The 12 most intense peaks (10 to 80 degrees two-theta), sorted by position:
| 2theta | intensity | hkl |
| --- | --- | --- |
| 24.43 | 26 | 1 0 1 |
| 37.97 | 100 | 1 1 2 |
| 38.75 | 8 | 1 0 3 |
| 42.37 | 18 | 0 0 4 |
| 44.99 | 31 | 2 0 0 |
| 51.85 | 7 | 2 1 1 |
| 58.75 | 3 | 1 0 5 |
| 60.85 | 5 | 2 1 3 |
| 63.51 | 22 | 2 0 4 |
| 65.52 | 10 | 2 2 0 |
| 74.57 | 14 | 1 1 6 |
| 78.31 | 24 | 3 1 2 |


- Which formula does entry 3 have?
  YCuPt2